(1)
Simulated PXRD pattern
Compound: Li4MnCo2O7
Radiation: Cu Ka
Structure: a structure optimized by DFT (GGA+U)
Lines closer than 0.1° are merged.

Atomic structure:
Cell: 3.0161 6.0022 14.2668 Å, 82.96 84.44 84.78°
Positions (direct):
Li  0.0000  0.0000  0.0000
Li  0.0000  0.5000  0.0000
Li  0.1410  0.0729  0.7162
Li  0.2858  0.6415  0.4274
Li  0.4320  0.2094  0.1408
Li  0.5680  0.7906  0.8592
Li  0.7142  0.3585  0.5726
Li  0.8590  0.9271  0.2838
Mn  0.2871  0.1479  0.4270
Mn  0.7129  0.8521  0.5730
Co  0.1426  0.5684  0.7174
Co  0.4317  0.7253  0.1367
Co  0.5683  0.2747  0.8633
Co  0.8574  0.4316  0.2826
O  0.0500  0.0554  0.8569
O  0.0934  0.5212  0.8519
O  0.1882  0.6079  0.5794
O  0.2430  0.1019  0.5673
O  0.3297  0.1936  0.2884
O  0.3882  0.6677  0.2734
O  0.4909  0.7414  0.0134
O  0.5091  0.2586  0.9866
O  0.6118  0.3323  0.7266
O  0.6703  0.8064  0.7116
O  0.7570  0.8981  0.4327
O  0.8118  0.3921  0.4206
O  0.9066  0.4788  0.1481
O  0.9500  0.9446  0.1431

Peak list (10 most intense, 2θ = 15–90°, low angle first)
two_theta, d [Å], I (rel.)
18.39, 4.823, 100
33.89, 2.645, 21
36.66, 2.451, 12
36.81, 2.442, 11
40.60, 2.222, 37
44.69, 2.028, 26
44.99, 2.015, 25
61.79, 1.501, 9
62.12, 1.494, 8
62.44, 1.487, 8

(2)
Simulated PXRD pattern
Compound: Li6Mn3CoO10
Radiation: Cu Ka
Structure: a structure optimized by DFT (GGA+U)
Lines closer than 0.1° are merged.

Atomic structure:
Cell: 5.0882 5.0882 13.3483 Å, 102.69 102.69 32.99°
Positions (direct):
Li  0.0000  0.0000  0.0000
Li  0.1811  0.1811  0.4061
Li  0.4038  0.4038  0.7772
Li  0.5003  0.5003  0.4951
Li  0.5988  0.5988  0.2091
Li  0.7956  0.7956  0.5781
Mn  0.1085  0.1085  0.6821
Mn  0.2972  0.2972  0.0982
Mn  0.6997  0.6997  0.8909
Co  0.8936  0.8936  0.3184
O  0.0667  0.0667  0.8372
O  0.1501  0.1501  0.5570
O  0.2597  0.2597  0.2301
O  0.3339  0.3339  0.9484
O  0.4755  0.4755  0.6496
O  0.5341  0.5341  0.3413
O  0.6606  0.6606  0.0478
O  0.7444  0.7444  0.7368
O  0.8388  0.8388  0.4368
O  0.9303  0.9303  0.1318

Peak list (10 most intense, 2θ = 15–90°, low angle first)
two_theta, d [Å], I (rel.)
18.36, 4.832, 100
18.68, 4.749, 8
34.51, 2.599, 12
36.15, 2.485, 25
41.69, 2.167, 29
44.05, 2.056, 59
58.11, 1.587, 9
62.06, 1.496, 14
62.45, 1.487, 13
64.51, 1.444, 10

(3)
Simulated PXRD pattern
Compound: Li7Mn2Co3O12
Radiation: Cu Ka
Structure: a structure optimized by DFT (GGA+U)
Lines closer than 0.1° are merged.

Atomic structure:
Cell: 8.3230 2.8989 9.8397 Å, 90.00 114.59 90.00°
Positions (direct):
Li  0.0000  0.0000  0.0000
Li  0.0000  0.5000  0.5000
Li  0.1618  0.0000  0.3214
Li  0.3125  0.5000  0.1546
Li  0.5000  0.0000  0.0000
Li  0.6875  0.5000  0.8454
Li  0.8382  0.0000  0.6786
Mn  0.3345  0.0000  0.6694
Mn  0.6655  0.0000  0.3306
Co  0.1484  0.5000  0.8415
Co  0.5000  0.5000  0.5000
Co  0.8516  0.5000  0.1585
O  0.0733  0.5000  0.1726
O  0.1083  0.0000  0.6757
O  0.2519  0.0000  0.9860
O  0.2620  0.5000  0.5194
O  0.4068  0.5000  0.8116
O  0.4345  0.0000  0.3413
O  0.5655  0.0000  0.6587
O  0.5932  0.5000  0.1884
O  0.7380  0.5000  0.4806
O  0.7481  0.0000  0.0140
O  0.8917  0.0000  0.3243
O  0.9267  0.5000  0.8274

Peak list (10 most intense, 2θ = 15–90°, low angle first)
two_theta, d [Å], I (rel.)
18.23, 4.866, 100
35.80, 2.508, 12
36.13, 2.486, 27
43.52, 2.079, 83
47.79, 1.903, 8
57.19, 1.611, 10
62.26, 1.491, 7
63.05, 1.474, 14
63.42, 1.467, 13
64.26, 1.449, 8

(4)
Simulated PXRD pattern
Compound: Li7Mn2Co3O12
Radiation: Cu Ka
Structure: a structure optimized by DFT (GGA+U)
Lines closer than 0.1° are merged.

Atomic structure:
Cell: 3.0095 5.0183 14.6520 Å, 82.27 85.11 88.49°
Positions (direct):
Li  0.0000  0.0000  0.0000
Li  0.0707  0.4098  0.8423
Li  0.1431  0.8227  0.6833
Li  0.3171  0.6583  0.3469
Li  0.4916  0.4893  0.9997
Li  0.6569  0.3326  0.6829
Li  0.8165  0.1570  0.3470
Mn  0.4064  0.0767  0.1752
Mn  0.9065  0.5766  0.1755
Co  0.2352  0.2427  0.5125
Co  0.5710  0.9099  0.8423
Co  0.7350  0.7427  0.5128
O  0.0472  0.7255  0.9144
O  0.0946  0.0940  0.7709
O  0.2048  0.5283  0.5901
O  0.2672  0.9571  0.4344
O  0.3292  0.3639  0.2540
O  0.4813  0.7860  0.0991
O  0.5309  0.1684  0.9172
O  0.6112  0.6526  0.7680
O  0.7067  0.0320  0.5876
O  0.7670  0.4584  0.4347
O  0.8282  0.8646  0.2545
O  0.9831  0.2905  0.0963

Peak list (10 most intense, 2θ = 15–90°, low angle first)
two_theta, d [Å], I (rel.)
18.40, 4.823, 100
34.71, 2.585, 18
35.74, 2.512, 15
36.63, 2.454, 12
41.90, 2.156, 34
43.37, 2.086, 31
44.79, 2.023, 26
61.68, 1.504, 9
62.09, 1.495, 8
62.94, 1.477, 8